Theoretical powder X-ray diffraction pattern
Compound: LiMn2O2F3
Radiation: Cu Ka
Structure: the GGA+U geometry in Alexandria

Structure:
```
LiMn2O2F3
1.0
5.066 -1.961 0.000
5.066 1.961 0.000
-0.519 0.000 9.918
Li Mn O F
2 4 4 6
Cartesian
0.000 0.000 0.000
6.740 0.000 1.602
-0.130 0.000 3.678
0.320 0.000 6.766
6.817 0.000 8.559
7.172 0.000 5.071
1.614 0.000 5.125
1.483 0.000 8.315
5.962 0.000 6.757
9.171 0.000 5.353
0.789 0.000 1.969
5.387 0.000 3.687
5.127 0.000 9.868
8.040 0.000 3.116
8.225 0.000 0.351
8.902 0.000 7.957
```

Most intense lines, 2θ from 5° to 70°, by angle:
- 9.918 Å, 8.92 deg, rel. 100
- 5.059 Å, 17.53 deg, rel. 34
- 4.959 Å, 17.89 deg, rel. 15
- 4.605 Å, 19.28 deg, rel. 24
- 3.656 Å, 24.34 deg, rel. 75
- 2.917 Å, 30.65 deg, rel. 21
- 2.836 Å, 31.55 deg, rel. 23
- 2.703 Å, 33.14 deg, rel. 25
- 1.961 Å, 46.31 deg, rel. 45
- 1.612 Å, 57.14 deg, rel. 15

Theoretical powder X-ray diffraction pattern
Compound: LiMn2O3F
Radiation: Cu Ka
Structure: the GGA+U geometry in Alexandria

Structure:
```
LiMn2O3F
1.0
6.837 -4.193 0.000
6.837 4.193 0.000
-2.655 0.000 5.494
Li Mn O F
4 8 12 4
Cartesian
5.509 3.206 2.747
2.755 1.102 1.621
1.428 -1.102 4.368
6.837 -3.206 0.000
2.736 2.149 5.048
8.262 2.232 0.909
6.154 0.053 1.454
4.826 -0.053 4.201
4.064 -2.149 2.302
8.885 0.007 3.005
10.212 -0.007 0.258
6.935 -2.232 3.656
6.357 2.081 1.279
2.940 0.180 5.102
4.268 -0.180 2.355
8.823 1.906 2.860
10.144 1.999 0.445
8.211 0.146 0.543
6.884 -0.146 3.290
5.029 -2.081 4.025
10.714 0.108 2.325
9.387 -0.108 5.072
10.150 -1.906 0.113
8.817 -1.999 3.192
1.428 0.010 0.763
0.101 -0.010 3.510
4.915 2.053 4.197
6.242 -2.053 1.450
```

Most intense lines, 2θ from 5° to 70°, by angle:
- 6.931 Å, 12.77 deg, rel. 79
- 4.933 Å, 17.98 deg, rel. 100
- 3.686 Å, 24.14 deg, rel. 33
- 2.785 Å, 32.14 deg, rel. 17
- 2.600 Å, 34.50 deg, rel. 19
- 2.180 Å, 41.42 deg, rel. 42
- 2.153 Å, 41.96 deg, rel. 40
- 2.096 Å, 43.15 deg, rel. 38
- 1.511 Å, 61.35 deg, rel. 23
- 1.502 Å, 61.76 deg, rel. 22

Theoretical powder X-ray diffraction pattern
Compound: LiMn2OF3
Radiation: Cu Ka
Structure: the GGA+U geometry in Alexandria

Structure:
```
LiMn2OF3
1.0
11.016 0.000 0.000
0.000 6.268 0.000
0.000 0.000 5.072
Li Mn O F
4 8 4 12
Cartesian
0.986 1.567 0.292
4.522 4.701 2.828
6.493 1.567 2.244
10.030 4.701 4.780
0.000 0.000 2.536
0.000 3.134 2.536
2.329 4.701 4.853
3.178 1.567 2.317
5.508 0.000 0.000
5.508 3.134 0.000
7.837 4.701 2.755
8.686 1.567 0.219
0.633 4.701 3.735
4.875 1.567 1.199
6.141 4.701 3.873
10.383 1.567 1.337
1.236 1.567 3.532
1.874 0.095 1.155
1.874 3.039 1.155
3.634 3.229 3.691
3.634 6.173 3.691
4.271 4.701 0.996
6.744 1.567 4.076
7.382 0.095 1.381
7.382 3.039 1.381
9.142 3.229 3.917
9.142 6.173 3.917
9.779 4.701 1.540
```

Most intense lines, 2θ from 5° to 70°, by angle:
- 4.607 Å, 19.27 deg, rel. 55
- 3.712 Å, 23.97 deg, rel. 100
- 2.974 Å, 30.05 deg, rel. 89
- 2.724 Å, 32.88 deg, rel. 34
- 2.591 Å, 34.62 deg, rel. 54
- 2.400 Å, 37.48 deg, rel. 46
- 1.865 Å, 48.82 deg, rel. 27
- 1.856 Å, 49.08 deg, rel. 76
- 1.698 Å, 53.99 deg, rel. 36
- 1.567 Å, 58.96 deg, rel. 25

Theoretical powder X-ray diffraction pattern
Compound: Li5MnO3F
Radiation: Cu Ka
Structure: the GGA+U geometry in Alexandria

Structure:
```
Li5MnO3F
1.0
4.901 -4.925 0.000
4.901 4.925 0.000
-1.448 0.000 4.524
Li Mn O F
10 2 6 2
Cartesian
2.750 2.739 2.794
0.162 0.000 3.897
3.435 2.174 0.584
5.603 2.739 1.729
4.919 2.174 3.939
3.435 -2.174 0.584
2.750 -2.739 2.794
4.919 -2.174 3.939
8.192 0.000 0.627
5.603 -2.739 1.729
2.746 0.000 2.863
5.608 0.000 1.660
1.369 1.471 3.410
4.177 1.475 2.262
1.369 -1.471 3.410
6.984 1.471 1.114
4.177 -1.475 2.262
6.984 -1.471 1.114
4.901 3.503 0.000
4.901 -3.503 0.000
```

Most intense lines, 2θ from 5° to 70°, by angle:
- 6.776 Å, 13.07 deg, rel. 59
- 3.896 Å, 22.83 deg, rel. 10
- 3.428 Å, 25.99 deg, rel. 100
- 3.098 Å, 28.82 deg, rel. 11
- 3.055 Å, 29.23 deg, rel. 11
- 2.227 Å, 40.50 deg, rel. 51
- 2.109 Å, 42.88 deg, rel. 17
- 1.828 Å, 49.88 deg, rel. 16
- 1.694 Å, 54.14 deg, rel. 39
- 1.413 Å, 66.12 deg, rel. 18

Theoretical powder X-ray diffraction pattern
Compound: Li2MnO2F
Radiation: Cu Ka
Structure: the GGA+U geometry in Alexandria

Structure:
```
Li2MnO2F
1.0
2.587 -4.518 0.000
2.587 4.518 0.000
-1.622 0.000 9.645
Li Mn O F
8 4 8 4
Cartesian
0.000 0.000 0.000
0.914 1.481 2.358
0.082 -0.030 7.235
0.983 -1.400 2.363
2.637 1.481 7.287
2.587 -1.419 0.000
3.470 -0.030 2.410
2.569 -1.400 7.282
1.776 3.057 4.823
2.587 1.321 0.000
1.776 0.021 4.823
1.776 -2.948 4.823
-0.049 -0.073 3.690
0.822 1.675 5.888
1.820 0.076 1.151
2.729 1.675 3.757
0.758 -1.534 5.983
1.732 0.076 8.494
2.794 -1.534 3.662
3.600 -0.073 5.955
1.843 2.898 1.114
1.709 2.898 8.531
1.823 -2.973 1.229
1.728 -2.973 8.416
```

Most intense lines, 2θ from 5° to 70°, by angle:
- 9.645 Å, 9.17 deg, rel. 87
- 4.823 Å, 18.40 deg, rel. 100
- 2.594 Å, 34.58 deg, rel. 14
- 2.559 Å, 35.06 deg, rel. 27
- 2.551 Å, 35.18 deg, rel. 17
- 2.115 Å, 42.76 deg, rel. 45
- 2.107 Å, 42.91 deg, rel. 87
- 1.497 Å, 62.01 deg, rel. 23
- 1.489 Å, 62.37 deg, rel. 25
- 1.475 Å, 63.02 deg, rel. 12

Theoretical powder X-ray diffraction pattern
Compound: LiMn3O4F2
Radiation: Cu Ka
Structure: the GGA+U geometry in Alexandria

Structure:
```
LiMn3O4F2
1.0
5.086 0.000 0.000
-2.424 4.600 0.000
-0.394 -2.711 4.693
Li Mn O F
1 3 4 2
Cartesian
0.000 0.000 0.000
-0.026 0.271 3.860
0.127 3.266 2.147
2.603 1.760 1.816
0.799 -1.420 2.898
0.903 1.751 3.048
1.578 3.070 0.781
3.396 0.407 2.902
-0.731 1.787 0.494
1.819 0.084 0.796
```

Most intense lines, 2θ from 5° to 70°, by angle:
- 4.693 Å, 18.91 deg, rel. 80
- 4.261 Å, 20.84 deg, rel. 68
- 3.983 Å, 22.32 deg, rel. 60
- 3.832 Å, 23.21 deg, rel. 64
- 3.570 Å, 24.94 deg, rel. 62
- 2.882 Å, 31.03 deg, rel. 90
- 2.740 Å, 32.68 deg, rel. 74
- 2.696 Å, 33.24 deg, rel. 60
- 2.584 Å, 34.72 deg, rel. 62
- 1.785 Å, 51.18 deg, rel. 100

Theoretical powder X-ray diffraction pattern
Compound: Li2Mn4O3F8
Radiation: Cu Ka
Structure: the GGA+U geometry in Alexandria

Structure:
```
Li2Mn4O3F8
1.0
5.132 0.000 0.000
-0.924 6.494 0.000
-1.817 -2.500 6.346
Li Mn O F
2 4 3 8
Cartesian
0.022 0.178 2.587
2.368 3.816 3.759
-0.173 3.473 1.465
-0.001 -0.839 6.183
2.392 4.833 0.163
2.563 0.521 4.881
-0.995 0.979 6.103
2.566 0.000 0.000
3.386 3.015 0.243
-1.116 5.394 1.183
-1.055 3.395 3.087
0.763 1.626 1.648
0.938 -0.352 4.203
1.452 4.346 2.144
1.627 2.368 4.698
3.445 0.599 3.259
3.506 -1.401 5.164
```

Most intense lines, 2θ from 5° to 70°, by angle:
- 6.346 Å, 13.95 deg, rel. 100
- 6.042 Å, 14.66 deg, rel. 39
- 5.496 Å, 16.13 deg, rel. 78
- 3.733 Å, 23.84 deg, rel. 84
- 3.351 Å, 26.60 deg, rel. 63
- 3.155 Å, 28.29 deg, rel. 24
- 2.893 Å, 30.91 deg, rel. 33
- 2.216 Å, 40.71 deg, rel. 66
- 2.093 Å, 43.23 deg, rel. 50
- 2.070 Å, 43.74 deg, rel. 53

Theoretical powder X-ray diffraction pattern
Compound: Li3Mn5OF11
Radiation: Cu Ka
Structure: the GGA+U geometry in Alexandria

Structure:
```
Li3Mn5OF11
1.0
5.662 0.000 0.000
-2.417 5.324 0.000
-0.444 -0.254 8.908
Li Mn O F
3 5 1 11
Cartesian
0.000 0.000 0.000
-1.872 3.591 4.835
0.934 3.339 4.908
-0.035 3.074 7.856
-0.219 4.561 1.780
2.257 0.976 6.377
3.103 2.323 0.420
4.963 1.038 3.515
-1.145 3.735 0.151
0.493 0.538 1.872
-0.495 3.321 3.423
-0.511 4.211 6.060
0.917 1.386 4.823
0.886 1.114 8.187
1.626 3.829 0.750
1.817 3.078 6.777
3.296 1.050 2.094
3.609 0.646 8.023
2.264 4.382 4.132
3.755 1.723 5.139
```

Most intense lines, 2θ from 5° to 70°, by angle:
- 8.908 Å, 9.93 deg, rel. 37
- 4.833 Å, 18.36 deg, rel. 37
- 4.627 Å, 19.18 deg, rel. 86
- 4.571 Å, 19.42 deg, rel. 49
- 4.350 Å, 20.42 deg, rel. 50
- 3.321 Å, 26.84 deg, rel. 100
- 3.277 Å, 27.21 deg, rel. 72
- 2.985 Å, 29.93 deg, rel. 51
- 2.761 Å, 32.42 deg, rel. 35
- 2.002 Å, 45.30 deg, rel. 43

Theoretical powder X-ray diffraction pattern
Compound: Li2MnO2F
Radiation: Cu Ka
Structure: the GGA+U geometry in Alexandria

Structure:
```
Li2MnO2F
1.0
2.599 -4.380 0.000
2.599 4.380 0.000
-1.392 0.000 9.657
Li Mn O F
8 4 8 4
Cartesian
0.604 2.190 4.828
1.555 3.759 7.243
1.318 0.543 0.019
0.622 -0.543 4.847
1.299 -2.190 0.000
3.184 0.543 4.810
2.488 -0.543 9.638
2.251 -3.759 2.414
2.251 2.168 2.414
1.555 0.663 7.243
2.251 -0.663 2.414
1.555 -2.168 7.243
-0.107 0.831 6.200
0.589 -0.831 1.371
1.517 0.750 3.529
0.821 -0.750 8.357
2.985 0.750 1.299
2.289 -0.750 6.128
3.217 0.831 8.285
3.913 -0.831 3.457
0.807 2.163 8.501
2.303 2.163 5.984
1.503 -2.163 3.673
2.999 -2.163 1.155
```

Most intense lines, 2θ from 5° to 70°, by angle:
- 4.828 Å, 18.37 deg, rel. 100
- 4.436 Å, 20.01 deg, rel. 38
- 3.989 Å, 22.28 deg, rel. 19
- 3.488 Å, 25.54 deg, rel. 17
- 2.572 Å, 34.88 deg, rel. 17
- 2.500 Å, 35.92 deg, rel. 26
- 2.147 Å, 42.09 deg, rel. 47
- 2.066 Å, 43.82 deg, rel. 83
- 1.489 Å, 62.38 deg, rel. 46
- 1.461 Å, 63.71 deg, rel. 22

Theoretical powder X-ray diffraction pattern
Compound: Li5Mn4P4O16F
Radiation: Cu Ka
Structure: the GGA+U geometry in Alexandria

Structure:
```
Li5Mn4P4O16F
1.0
-5.808 5.808 2.587
5.808 -5.808 2.587
5.808 5.808 -2.587
Li Mn P O F
5 4 4 16 1
Cartesian
0.000 0.000 0.000
5.807 1.362 -0.267
4.446 -0.001 2.854
1.362 5.809 0.267
0.001 4.446 2.321
4.047 4.326 -0.278
7.291 4.047 0.278
1.762 1.483 2.310
-1.483 1.762 2.865
8.497 0.742 0.177
0.742 3.119 -0.177
5.066 2.689 2.410
-2.689 5.066 2.764
8.178 2.234 0.023
2.739 -0.411 1.679
2.234 3.438 -0.023
0.379 1.899 0.727
3.069 6.219 -0.908
-0.078 4.357 0.231
5.397 3.069 0.908
0.078 7.259 0.231
3.574 2.370 2.564
-2.370 3.574 2.610
-3.909 5.430 1.861
3.909 6.187 1.861
0.411 2.739 3.495
1.451 5.731 2.356
-1.451 5.886 2.356
-0.379 9.717 0.727
0.000 0.000 2.587
```

Most intense lines, 2θ from 5° to 70°, by angle:
- 8.214 Å, 10.77 deg, rel. 33
- 4.727 Å, 18.77 deg, rel. 21
- 3.669 Å, 24.26 deg, rel. 100
- 3.100 Å, 28.80 deg, rel. 70
- 2.736 Å, 32.74 deg, rel. 39
- 2.587 Å, 34.67 deg, rel. 31
- 2.473 Å, 36.32 deg, rel. 28
- 2.119 Å, 42.67 deg, rel. 43
- 1.992 Å, 45.54 deg, rel. 26
- 1.579 Å, 58.45 deg, rel. 15

> Number 5 is which compound?

Li2MnO2F